[1]
For TaAgO2F2, a PBE-relaxed structure gives the computed powder diffraction line list in this record (CuKα).
Neutral-atom scattering factors, no anomalous dispersion.

Structure:
Cell: 6.348 3.789 7.103 Å, 90.00 104.82 90.00°
Space group P2_1 (No. 4)
One atom of each set of equivalent atoms:
Ta1 0.129 0.000 0.197 (multiplicity 2)
Ag1 0.415 0.999 0.737 (multiplicity 2)
O1 0.082 0.500 0.121 (multiplicity 2)
O2 0.322 0.001 0.426 (multiplicity 2)
F1 0.133 0.499 0.711 (multiplicity 2)
F2 0.363 0.999 0.052 (multiplicity 2)

The 10 most intense peaks (5° ≤ 2θ ≤ 70°), in order of rising 2θ:
Position (°2θ)	d [Å]	I_rel	h k l
16.73	5.298	57	1 0 -1
25.95	3.433	86	0 0 2
27.67	3.224	94	1 1 0
28.67	3.114	72	2 0 -1
28.97	3.082	66	1 1 -1
32.22	2.778	100	1 1 1
34.95	2.567	39	2 0 1
48.03	1.894	35	0 2 0
49.39	1.845	40	2 1 -3
52.02	1.758	36	1 1 3



[2]
For Rb2AgOsF6, a PBE-relaxed structure gives the computed powder diffraction line list in this record (CuKα).
Neutral-atom scattering factors, no anomalous dispersion.

Structure:
Cell: 3.898 3.898 10.748 Å, 90.00 90.00 90.00°
Space group P4/mmm (No. 123)
One atom of each set of equivalent atoms:
Rb1 0.000 0.000 0.235 (multiplicity 2)
Ag1 0.500 0.500 0.500 (multiplicity 1)
Os1 0.500 0.500 0.000 (multiplicity 1)
F1 0.000 0.000 0.000 (multiplicity 1)
F2 0.000 0.000 0.500 (multiplicity 1)
F3 0.000 0.500 0.378 (multiplicity 4)

The 10 most intense peaks (5° ≤ 2θ ≤ 70°), in order of rising 2θ:
Position (°2θ)	d [Å]	I_rel	h k l
16.50	5.374	15	0 0 2
28.28	3.155	100	1 0 2
32.49	2.756	35	1 1 0
33.35	2.687	16	0 0 4
36.64	2.452	8	1 1 2
46.60	1.949	23	2 0 0
47.24	1.924	43	1 1 4
55.41	1.658	31	2 1 2
56.54	1.628	13	1 0 6
58.51	1.578	13	2 0 4



[3]
For AgPPb2F10, a PBE-relaxed structure gives the computed powder diffraction line list in this record (CuKα).
Neutral-atom scattering factors, no anomalous dispersion.

Structure:
Cell: 4.469 4.618 8.655 Å, 89.40 77.74 81.63°
Space group P-1 (No. 2)
One atom of each set of equivalent atoms:
Ag1 0.000 0.000 0.000 (multiplicity 1)
P1 0.000 0.000 0.500 (multiplicity 1)
Pb1 0.384 0.524 0.792 (multiplicity 2)
F1 0.050 0.139 0.662 (multiplicity 2)
F2 0.146 0.265 0.401 (multiplicity 2)
F3 0.202 0.495 0.084 (multiplicity 2)
F4 0.339 0.801 0.476 (multiplicity 2)
F5 0.473 0.039 0.850 (multiplicity 2)

The 10 most intense peaks (5° ≤ 2θ ≤ 70°), in order of rising 2θ:
Position (°2θ)	d [Å]	I_rel	h k l
10.46	8.456	35	0 0 1
21.01	4.229	24	1 0 1
26.19	3.403	100	1 0 2
28.46	3.136	40	0 1 -2
29.08	3.071	31	0 1 2
30.50	2.931	21	1 -1 0
39.45	2.284	20	0 2 0
41.83	2.159	29	1 0 -3
42.81	2.112	27	2 1 1
45.54	1.992	26	2 0 -1



[4]
For AgPbSF, a PBE-relaxed structure gives the computed powder diffraction line list in this record (CuKα).
Neutral-atom scattering factors, no anomalous dispersion.

Structure:
Cell: 6.579 7.039 7.055 Å, 90.00 90.00 90.00°
Space group P2_12_12_1 (No. 19)
One atom of each set of equivalent atoms:
Ag1 0.054 0.153 0.331 (multiplicity 4)
Pb1 0.053 0.635 0.654 (multiplicity 4)
S1 0.168 0.915 0.094 (multiplicity 4)
F1 0.159 0.405 0.920 (multiplicity 4)

The 10 most intense peaks (5° ≤ 2θ ≤ 70°), in order of rising 2θ:
Position (°2θ)	d [Å]	I_rel	h k l
22.38	3.972	21	1 1 1
27.11	3.290	31	2 0 0
28.31	3.153	29	0 1 2
28.76	3.104	79	1 2 0
31.46	2.843	100	1 1 2
32.62	2.745	27	2 1 1
38.64	2.330	17	1 2 2
39.59	2.276	28	2 1 2
45.17	2.007	20	3 1 1
46.48	1.954	19	0 3 2